Computed powder XRD pattern of Er6MgGe2S14 for λ = 1.5418 Å (Cu Kα), from the PBE geometry in the Materials Project.
Intensities are scaled so that the largest is 1000.

Cell lengths 9.735, 9.735, 5.879 Å; angles 90.00, 90.00, 120.00 degrees
Sites, in units of the cell vectors:
Er: 0.024 0.473 0.000
Er: 0.305 0.192 0.495
Er: 0.449 0.976 0.000
Er: 0.527 0.551 0.000
Er: 0.808 0.112 0.495
Er: 0.888 0.695 0.495
Mg: 0.667 0.333 0.689
Ge: 0.000 0.000 0.072
Ge: 0.333 0.667 0.576
S: 0.000 0.000 0.696
S: 0.091 0.238 0.234
S: 0.147 0.909 0.234
S: 0.187 0.759 0.740
S: 0.241 0.428 0.740
S: 0.333 0.667 0.199
S: 0.415 0.230 0.927
S: 0.516 0.081 0.444
S: 0.565 0.484 0.444
S: 0.572 0.813 0.740
S: 0.762 0.853 0.234
S: 0.770 0.185 0.927
S: 0.815 0.585 0.927
S: 0.919 0.435 0.444

Main lines, in order of rising 2θ (2θ from 10° to 90°):
2θ (°), d_spacing, I/Imax, hkl
21.08, 4.215, 305, 2 0 0
23.73, 3.749, 188, 2 -1 1
26.01, 3.426, 1000, 2 0 1
30.41, 2.940, 179, 0 0 2
36.94, 2.434, 368, 2 2 0
37.29, 2.411, 286, 0 2 2
41.57, 2.173, 215, 1 3 1
41.81, 2.161, 201, 2 1 2
48.57, 1.875, 180, 4 -2 2
51.42, 1.777, 190, 2 0 3



Computed powder XRD pattern of Er2MnGe4 for λ = 1.5418 Å (Cu Kα), from the PBE geometry in the Materials Project.
Intensities are scaled so that the largest is 1000.

Cell lengths 4.210, 4.231, 15.359 Å; angles 90.00, 90.00, 90.00 degrees
Sites, in units of the cell vectors:
Er: 0.000 0.000 0.000
Er: 0.000 0.500 0.500
Er: 0.500 0.000 0.204
Er: 0.500 0.500 0.704
Mn: 0.000 0.000 0.800
Mn: 0.000 0.500 0.300
Ge: 0.000 0.000 0.362
Ge: 0.000 0.000 0.649
Ge: 0.000 0.500 0.149
Ge: 0.000 0.500 0.862
Ge: 0.500 0.000 0.538
Ge: 0.500 0.000 0.857
Ge: 0.500 0.500 0.038
Ge: 0.500 0.500 0.357

Main lines, in order of rising 2θ (2θ from 10° to 90°):
2θ (°), d_spacing, I/Imax, hkl
24.11, 3.691, 151, 1 0 2
34.80, 2.578, 1000, 1 1 3
35.06, 2.560, 157, 0 0 6
36.14, 2.486, 200, 0 1 5
41.28, 2.187, 145, 1 0 6
42.74, 2.115, 213, 0 2 0
42.97, 2.105, 210, 2 0 0
62.22, 1.492, 138, 2 2 0
73.15, 1.294, 115, 1 3 3
73.46, 1.289, 186, 3 1 3



Computed powder XRD pattern of ErMn6Ge6 for λ = 1.5418 Å (Cu Kα), from the PBE geometry in the Materials Project.
Intensities are scaled so that the largest is 1000.

Cell lengths 5.172, 5.172, 8.139 Å; angles 90.00, 90.00, 120.00 degrees
Sites, in units of the cell vectors:
Er: 0.000 0.000 0.000
Mn: 0.000 0.500 0.251
Mn: 0.000 0.500 0.749
Mn: 0.500 0.000 0.251
Mn: 0.500 0.000 0.749
Mn: 0.500 0.500 0.251
Mn: 0.500 0.500 0.749
Ge: 0.000 0.000 0.344
Ge: 0.000 0.000 0.656
Ge: 0.333 0.667 0.000
Ge: 0.333 0.667 0.500
Ge: 0.667 0.333 0.000
Ge: 0.667 0.333 0.500

Main lines, in order of rising 2θ (2θ from 10° to 90°):
2θ (°), d_spacing, I/Imax, hkl
34.69, 2.586, 771, 1 1 0
38.81, 2.321, 432, 1 0 3
40.27, 2.240, 497, 2 0 0
41.37, 2.183, 1000, 1 1 2
44.53, 2.035, 238, 0 0 4
46.27, 1.962, 367, 2 0 2
48.64, 1.872, 226, 1 1 3
66.73, 1.402, 233, 3 0 2
73.20, 1.293, 288, 2 2 0
79.85, 1.201, 265, 1 1 6



Computed powder XRD pattern of Er4MnGe8 for λ = 1.5418 Å (Cu Kα), from the PBE geometry in the Materials Project.
Intensities are scaled so that the largest is 1000.

Cell lengths 3.987, 4.165, 15.858 Å; angles 90.00, 90.00, 90.00 degrees
Sites, in units of the cell vectors:
Er: 0.000 0.000 0.000
Er: 0.000 0.500 0.495
Er: 0.500 0.000 0.793
Er: 0.500 0.500 0.290
Mn: 0.000 0.500 0.704
Ge: 0.000 0.000 0.339
Ge: 0.000 0.000 0.634
Ge: 0.000 0.500 0.142
Ge: 0.000 0.500 0.853
Ge: 0.500 0.000 0.146
Ge: 0.500 0.000 0.448
Ge: 0.500 0.500 0.630
Ge: 0.500 0.500 0.958

Main lines, in order of rising 2θ (2θ from 10° to 90°):
2θ (°), d_spacing, I/Imax, hkl
25.00, 3.562, 134, 1 0 2
27.26, 3.272, 80, 0 1 3
33.92, 2.643, 136, 0 0 6
35.51, 2.528, 1000, 1 1 3
40.97, 2.203, 125, 1 0 6
43.45, 2.083, 161, 0 2 0
45.50, 1.993, 145, 2 0 0
64.73, 1.440, 98, 2 2 0
74.58, 1.272, 114, 1 3 3
77.53, 1.231, 87, 3 1 3



Computed powder XRD pattern of ErMnGe for λ = 1.5418 Å (Cu Kα), from the PBE geometry in the Materials Project.
Intensities are scaled so that the largest is 1000.

Cell lengths 7.002, 4.069, 7.915 Å; angles 90.00, 90.00, 90.00 degrees
Sites, in units of the cell vectors:
Er: 0.026 0.250 0.180
Er: 0.474 0.750 0.680
Er: 0.526 0.250 0.320
Er: 0.974 0.750 0.820
Mn: 0.132 0.250 0.554
Mn: 0.368 0.750 0.054
Mn: 0.632 0.250 0.946
Mn: 0.868 0.750 0.446
Ge: 0.226 0.750 0.379
Ge: 0.274 0.250 0.879
Ge: 0.726 0.750 0.121
Ge: 0.774 0.250 0.621

Main lines, in order of rising 2θ (2θ from 10° to 90°):
2θ (°), d_spacing, I/Imax, hkl
24.60, 3.619, 212, 0 1 1
34.12, 2.628, 952, 1 1 2
35.68, 2.516, 1000, 2 1 1
36.39, 2.469, 368, 1 0 3
40.29, 2.239, 157, 3 0 1
40.76, 2.214, 195, 0 1 3
42.85, 2.110, 164, 1 1 3
44.53, 2.035, 314, 0 2 0
58.81, 1.570, 182, 1 2 3
66.02, 1.415, 157, 3 1 4



Computed powder XRD pattern of ErMn6Sn4Ge2 for λ = 1.5418 Å (Cu Kα), from the PBE geometry in the Materials Project.
Intensities are scaled so that the largest is 1000.

Cell lengths 5.346, 5.346, 8.665 Å; angles 90.00, 90.00, 120.00 degrees
Sites, in units of the cell vectors:
Er: 0.000 0.000 0.000
Mn: 0.000 0.500 0.232
Mn: 0.000 0.500 0.768
Mn: 0.500 0.000 0.232
Mn: 0.500 0.000 0.768
Mn: 0.500 0.500 0.232
Mn: 0.500 0.500 0.768
Sn: 0.000 0.000 0.333
Sn: 0.000 0.000 0.667
Sn: 0.333 0.667 0.500
Sn: 0.667 0.333 0.500
Ge: 0.333 0.667 0.000
Ge: 0.667 0.333 0.000

Main lines, in order of rising 2θ (2θ from 10° to 90°):
2θ (°), d_spacing, I/Imax, hkl
33.52, 2.673, 1000, 1 1 0
36.67, 2.451, 798, 1 0 3
38.90, 2.315, 418, 2 0 0
39.62, 2.275, 795, 1 1 2
41.70, 2.166, 210, 0 0 4
44.37, 2.042, 439, 2 0 2
46.28, 1.962, 320, 1 1 3
62.01, 1.497, 356, 2 1 3
70.45, 1.337, 309, 2 2 0
74.71, 1.271, 341, 1 1 6



Computed powder XRD pattern of NaErGeO4 for λ = 1.5418 Å (Cu Kα), from the PBE geometry in the Materials Project.
Intensities are scaled so that the largest is 1000.

Cell lengths 11.439, 6.458, 5.313 Å; angles 90.00, 90.00, 90.00 degrees
Sites, in units of the cell vectors:
Na: 0.000 0.000 0.000
Na: 0.000 0.500 0.000
Na: 0.500 0.000 0.500
Na: 0.500 0.500 0.500
Er: 0.223 0.250 0.495
Er: 0.277 0.750 0.995
Er: 0.723 0.250 0.005
Er: 0.777 0.750 0.505
Ge: 0.098 0.750 0.553
Ge: 0.402 0.250 0.053
Ge: 0.598 0.750 0.947
Ge: 0.902 0.250 0.447
O: 0.046 0.250 0.329
O: 0.112 0.750 0.225
O: 0.175 0.541 0.708
O: 0.175 0.959 0.708
O: 0.325 0.041 0.208
O: 0.325 0.459 0.208
O: 0.388 0.250 0.725
O: 0.454 0.750 0.829
O: 0.546 0.250 0.171
O: 0.612 0.750 0.275
O: 0.675 0.541 0.792
O: 0.675 0.959 0.792
O: 0.825 0.041 0.292
O: 0.825 0.459 0.292
O: 0.888 0.250 0.775
O: 0.954 0.750 0.671

Main lines, in order of rising 2θ (2θ from 10° to 90°):
2θ (°), d_spacing, I/Imax, hkl
15.49, 5.720, 406, 2 0 0
18.41, 4.819, 246, 1 0 1
23.03, 3.862, 839, 1 1 1
27.62, 3.229, 430, 0 2 0
28.82, 3.098, 257, 3 0 1
32.04, 2.793, 1000, 3 1 1
33.40, 2.683, 277, 1 2 1
44.14, 2.052, 200, 0 2 2
47.06, 1.931, 276, 2 2 2
51.71, 1.768, 267, 3 3 1



Computed powder XRD pattern of Er2Nb3Ge4 for λ = 1.5418 Å (Cu Kα), from the PBE geometry in the Materials Project.
Intensities are scaled so that the largest is 1000.

Cell lengths 7.007, 13.594, 7.182 Å; angles 90.00, 90.00, 90.00 degrees
Sites, in units of the cell vectors:
Er: 0.004 0.095 0.174
Er: 0.004 0.405 0.174
Er: 0.496 0.595 0.674
Er: 0.496 0.905 0.674
Er: 0.504 0.095 0.326
Er: 0.504 0.405 0.326
Er: 0.996 0.595 0.826
Er: 0.996 0.905 0.826
Nb: 0.159 0.626 0.329
Nb: 0.159 0.874 0.329
Nb: 0.165 0.250 0.512
Nb: 0.335 0.750 0.012
Nb: 0.341 0.126 0.829
Nb: 0.341 0.374 0.829
Nb: 0.659 0.626 0.171
Nb: 0.659 0.874 0.171
Nb: 0.665 0.250 0.988
Nb: 0.835 0.750 0.488
Nb: 0.841 0.126 0.671
Nb: 0.841 0.374 0.671
Ge: 0.041 0.250 0.879
Ge: 0.175 0.041 0.538
Ge: 0.175 0.459 0.538
Ge: 0.195 0.750 0.639
Ge: 0.305 0.250 0.139
Ge: 0.325 0.541 0.038
Ge: 0.325 0.959 0.038
Ge: 0.459 0.750 0.379
Ge: 0.541 0.250 0.621
Ge: 0.675 0.041 0.962
Ge: 0.675 0.459 0.962
Ge: 0.695 0.750 0.861
Ge: 0.805 0.250 0.361
Ge: 0.825 0.541 0.462
Ge: 0.825 0.959 0.462
Ge: 0.959 0.750 0.121

Main lines, in order of rising 2θ (2θ from 10° to 90°):
2θ (°), d_spacing, I/Imax, hkl
34.34, 2.612, 1000, 1 3 2
34.69, 2.586, 979, 2 3 1
36.41, 2.468, 505, 0 4 2
38.68, 2.328, 191, 1 4 2
39.00, 2.310, 225, 2 4 1
39.79, 2.265, 468, 0 6 0
40.36, 2.234, 301, 1 1 3
40.62, 2.221, 523, 3 0 1
42.06, 2.148, 181, 2 5 0
61.85, 1.500, 229, 3 4 3